Structure and computed powder diffractogram of Ca2VSbO6 (a DFT-relaxed cell (GGA+U, Alexandria); copper Kα).
Kinematic intensities with the Lorentz-polarization factor, no thermal factor.

Most intense lines, 5 to 70 degrees two-theta, in order of rising 2θ:
- 15.58 deg, intensity 15, hkl 0 0 1
- 22.46 deg, intensity 35, hkl 1 0 1
- 22.95 deg, intensity 15, hkl 0 2 0
- 31.46 deg, intensity 26, hkl 0 0 2
- 32.33 deg, intensity 100, hkl 1 2 -1
- 32.47 deg, intensity 24, hkl 2 0 0
- 45.84 deg, intensity 32, hkl 2 0 -2
- 46.90 deg, intensity 17, hkl 0 4 0
- 56.57 deg, intensity 17, hkl 1 2 -3
- 57.84 deg, intensity 25, hkl 3 2 1

Atomic structure:
```
data_Ca2VSbO6
_cell_length_a 5.515
_cell_length_b 7.750
_cell_length_c 5.686
_cell_angle_alpha 90.00
_cell_angle_beta 90.04
_cell_angle_gamma 90.00
_symmetry_space_group_name_H-M 'P 1 21/m 1'
_symmetry_Int_Tables_number 11
loop_
_symmetry_equiv_pos_as_xyz
'x,y,z'
'-x,-y,-z'
'-x,y+1/2,-z'
'x,-y+1/2,z'
loop_
_atom_site_label
_atom_site_fract_x
_atom_site_fract_y
_atom_site_fract_z
Ca1 0.005 0.250 0.455
Ca2 0.481 0.250 0.936
V1 0.500 0.000 0.500
Sb1 0.000 0.000 0.000
O1 0.105 0.750 0.965
O2 0.188 0.050 0.708
O3 0.294 0.048 0.192
O4 0.428 0.750 0.479
```